Record 1
Starting from a cell relaxed with GGA-PBE, the PXRD pattern of CaIn3Cu8 was computed for Cu Kα X-rays.

Peak list (6 most intense, 2θ = 10–90°, low angle first)
- d 2.559, I = 40
- d 2.350, I = 76
- d 2.179, I = 100
- d 2.141, I = 74
- d 1.434, I = 29
- d 1.330, I = 27

Atomic structure:
Unit cell a=5.118 b=5.118 c=8.317 alpha=90.00 beta=90.00 gamma=120.00
Atoms (fractional coordinates):
Ca (0.000, 0.000, 0.000)
In (0.000, 0.000, 0.376)
In (0.667, 0.333, 0.496)
In (0.667, 0.333, 0.870)
Cu (0.166, 0.331, 0.681)
Cu (0.166, 0.834, 0.681)
Cu (0.333, 0.667, 0.432)
Cu (0.333, 0.667, 0.930)
Cu (0.501, 0.002, 0.188)
Cu (0.501, 0.499, 0.188)
Cu (0.669, 0.834, 0.681)
Cu (0.998, 0.499, 0.188)

=====

Record 2
Starting from a cell relaxed with GGA-PBE, the PXRD pattern of Sc2Hg5 was computed for Cu Kα X-rays.

Peak list (6 most intense, 2θ = 10–90°, low angle first)
- d 2.631, I = 50
- d 2.595, I = 57
- d 2.489, I = 100
- d 2.465, I = 90
- d 1.847, I = 35
- d 1.477, I = 23

Atomic structure:
Unit cell a=8.558 b=5.189 c=8.044 alpha=90.00 beta=116.77 gamma=90.00
Atoms (fractional coordinates):
Sc (0.231, 0.000, 0.163)
Sc (0.269, 0.500, 0.837)
Sc (0.731, 0.500, 0.163)
Sc (0.769, 0.000, 0.837)
Hg (0.000, 0.500, 0.000)
Hg (0.073, 0.000, 0.751)
Hg (0.145, 0.500, 0.423)
Hg (0.355, 0.000, 0.577)
Hg (0.427, 0.500, 0.249)
Hg (0.500, 0.000, 0.000)
Hg (0.573, 0.500, 0.751)
Hg (0.645, 0.000, 0.423)
Hg (0.855, 0.500, 0.577)
Hg (0.927, 0.000, 0.249)

=====

Record 3
Starting from a cell relaxed with GGA-PBE, the PXRD pattern of Zn6As7 was computed for Cu Kα X-rays.

Peak list (6 most intense, 2θ = 10–90°, low angle first)
- d 2.873, I = 48
- d 2.477, I = 56
- d 2.407, I = 100
- d 2.251, I = 50
- d 2.078, I = 40
- d 1.436, I = 41

Atomic structure:
Unit cell a=9.424 b=9.424 c=9.424 alpha=35.49 beta=35.49 gamma=35.49
Atoms (fractional coordinates):
Zn (0.048, 0.048, 0.048)
Zn (0.152, 0.152, 0.152)
Zn (0.336, 0.336, 0.336)
Zn (0.664, 0.664, 0.664)
Zn (0.848, 0.848, 0.848)
Zn (0.952, 0.952, 0.952)
As (0.074, 0.586, 0.586)
As (0.414, 0.414, 0.926)
As (0.414, 0.926, 0.414)
As (0.500, 0.500, 0.500)
As (0.586, 0.074, 0.586)
As (0.586, 0.586, 0.074)
As (0.926, 0.414, 0.414)

=====

Record 4
Starting from a cell relaxed with GGA-PBE, the PXRD pattern of Cs2PrBSe4 was computed for Cu Kα X-rays.

Peak list (6 most intense, 2θ = 10–90°, low angle first)
- d 6.598, I = 29
- d 3.927, I = 51
- d 3.820, I = 48
- d 3.619, I = 43
- d 3.173, I = 100
- d 2.217, I = 43

Atomic structure:
Unit cell a=15.280 b=13.561 c=8.316 alpha=85.02 beta=62.15 gamma=32.83
Atoms (fractional coordinates):
Cs (0.054, 0.054, 0.696)
Cs (0.304, 0.304, 0.946)
Cs (0.696, 0.696, 0.054)
Cs (0.946, 0.946, 0.304)
Pr (0.125, 0.125, 0.125)
Pr (0.875, 0.875, 0.875)
B (0.375, 0.375, 0.375)
B (0.625, 0.625, 0.625)
Se (0.069, 0.582, 0.510)
Se (0.340, 0.510, 0.582)
Se (0.418, 0.931, 0.660)
Se (0.490, 0.660, 0.931)
Se (0.510, 0.340, 0.069)
Se (0.582, 0.069, 0.340)
Se (0.660, 0.490, 0.418)
Se (0.931, 0.418, 0.490)

=====

Record 5
Starting from a cell relaxed with GGA-PBE, the PXRD pattern of Th2Ni17 was computed for Cu Kα X-rays.

Peak list (6 most intense, 2θ = 10–90°, low angle first)
- d 2.907, I = 54
- d 2.410, I = 46
- d 2.326, I = 26
- d 2.087, I = 62
- d 2.071, I = 100
- d 2.025, I = 30

Atomic structure:
Unit cell a=6.296 b=6.296 c=6.296 alpha=83.06 beta=83.06 gamma=83.06
Atoms (fractional coordinates):
Th (0.162, 0.162, 0.162)
Th (0.838, 0.838, 0.838)
Ni (0.000, 0.500, 0.500)
Ni (0.155, 0.155, 0.654)
Ni (0.155, 0.654, 0.155)
Ni (0.208, 0.500, 0.792)
Ni (0.208, 0.792, 0.500)
Ni (0.346, 0.845, 0.845)
Ni (0.401, 0.401, 0.401)
Ni (0.500, 0.000, 0.500)
Ni (0.500, 0.208, 0.792)
Ni (0.500, 0.500, 0.000)
Ni (0.500, 0.792, 0.208)
Ni (0.599, 0.599, 0.599)
Ni (0.654, 0.155, 0.155)
Ni (0.792, 0.208, 0.500)
Ni (0.792, 0.500, 0.208)
Ni (0.845, 0.346, 0.845)
Ni (0.845, 0.845, 0.346)

=====

Record 6
Starting from a cell relaxed with GGA-PBE, the PXRD pattern of TaGaNiIr was computed for Cu Kα X-rays.

Peak list (6 most intense, 2θ = 10–90°, low angle first)
- d 3.513, I = 34
- d 2.231, I = 100
- d 2.015, I = 37
- d 1.793, I = 13
- d 1.339, I = 19
- d 1.201, I = 27

Atomic structure:
Unit cell a=4.029 b=4.029 c=7.173 alpha=90.00 beta=90.00 gamma=90.00
Atoms (fractional coordinates):
Ta (0.000, 0.000, 0.000)
Ta (0.500, 0.500, 0.500)
Ga (0.000, 0.000, 0.500)
Ga (0.500, 0.500, 0.000)
Ni (0.000, 0.500, 0.750)
Ni (0.500, 0.000, 0.250)
Ir (0.000, 0.500, 0.250)
Ir (0.500, 0.000, 0.750)

=====

Record 7
Starting from a cell relaxed with GGA-PBE, the PXRD pattern of PmSmGdEr was computed for Cu Kα X-rays.

Peak list (6 most intense, 2θ = 10–90°, low angle first)
- d 2.862, I = 100
- d 2.023, I = 19
- d 1.652, I = 39
- d 1.431, I = 12
- d 1.280, I = 17
- d 1.168, I = 4

Atomic structure:
Unit cell a=8.094 b=8.094 c=8.094 alpha=90.00 beta=90.00 gamma=90.00
Atoms (fractional coordinates):
Pm (0.000, 0.000, 0.000)
Pm (0.000, 0.500, 0.500)
Pm (0.500, 0.000, 0.500)
Pm (0.500, 0.500, 0.000)
Sm (0.250, 0.250, 0.250)
Sm (0.250, 0.750, 0.750)
Sm (0.750, 0.250, 0.750)
Sm (0.750, 0.750, 0.250)
Gd (0.250, 0.250, 0.750)
Gd (0.250, 0.750, 0.250)
Gd (0.750, 0.250, 0.250)
Gd (0.750, 0.750, 0.750)
Er (0.000, 0.000, 0.500)
Er (0.000, 0.500, 0.000)
Er (0.500, 0.000, 0.000)
Er (0.500, 0.500, 0.500)

=====

Record 8
Starting from a cell relaxed with GGA-PBE, the PXRD pattern of SmMg6Ga2 was computed for Cu Kα X-rays.

Peak list (6 most intense, 2θ = 10–90°, low angle first)
- d 3.129, I = 48
- d 2.993, I = 70
- d 2.706, I = 62
- d 2.671, I = 100
- d 2.220, I = 53
- d 2.212, I = 61

Atomic structure:
Unit cell a=4.425 b=4.425 c=10.263 alpha=90.00 beta=90.00 gamma=90.00
Atoms (fractional coordinates):
Sm (0.000, 0.000, 0.000)
Mg (0.000, 0.000, 0.500)
Mg (0.000, 0.500, 0.277)
Mg (0.000, 0.500, 0.723)
Mg (0.500, 0.000, 0.277)
Mg (0.500, 0.000, 0.723)
Mg (0.500, 0.500, 0.500)
Ga (0.500, 0.500, 0.119)
Ga (0.500, 0.500, 0.881)

=====

Question: Number 1 is which compound?
Answer: CaIn3Cu8